[1]
This entry pairs a crystal structure of Al7Ag with its theoretical PXRD pattern. Radiation: Cu Kα (weighted mean of Kα1 and Kα2). Structure: a structure optimized by DFT (PBE).
Lines closer than 0.1° are merged.

Main lines, low angle first (10° ≤ 2θ ≤ 90°):
2θ 16.14, I = 33
2θ 38.13, I = 51
2θ 38.47, I = 100
2θ 38.56, I = 50
2θ 44.21, I = 33
2θ 44.52, I = 35

Crystal structure
```
data_Al7Ag
_chemical_formula_sum 'Al7 Ag1'
_space_group_name_H-M_alt 'P -1'
_space_group_IT_number 2
_cell_length_a 4.937
_cell_length_b 5.008
_cell_length_c 5.713
_cell_angle_alpha 90.56
_cell_angle_beta 105.66
_cell_angle_gamma 99.75
loop_
_space_group_symop_operation_xyz
'x,y,z'
'-x,-y,-z'
loop_
_atom_site_label
_atom_site_type_symbol
_atom_site_fract_x
_atom_site_fract_y
_atom_site_fract_z
Al1 Al 0.000 0.000 0.000
Al2 Al 0.001 0.501 0.246
Al3 Al 0.499 0.748 0.625
Al4 Al 0.500 0.255 0.876
Ag1 Ag 0.000 0.000 0.500
```

---

[2]
This entry pairs a crystal structure of NdY6Mg2 with its theoretical PXRD pattern. Radiation: Cu Kα (weighted mean of Kα1 and Kα2). Structure: a structure optimized by DFT (PBE).
Lines closer than 0.1° are merged.

Main lines, low angle first (10° ≤ 2θ ≤ 90°):
2θ 14.85, I = 78
2θ 16.88, I = 49
2θ 28.82, I = 78
2θ 34.13, I = 100
2θ 37.00, I = 86
2θ 50.34, I = 47

Crystal structure
```
data_NdY6Mg2
_chemical_formula_sum 'Nd3 Y18 Mg6'
_space_group_name_H-M_alt 'R 3 m'
_space_group_IT_number 160
_space_group_name_Hall 'R 3 -2"'
_cell_length_a 7.2499
_cell_length_b 7.2499
_cell_length_c 19.1865
_cell_angle_alpha 90.00
_cell_angle_beta 90.00
_cell_angle_gamma 120.00
loop_
_atom_site_label
_atom_site_type_symbol
_atom_site_fract_x
_atom_site_fract_y
_atom_site_fract_z
Nd1 Nd 0.0000 0.0000 0.0000
Y1 Y 0.1688 0.3377 0.8839
Y2 Y 0.1856 0.3711 0.0823
Mg1 Mg 0.0000 0.0000 0.5628
Mg2 Mg 0.0000 0.0000 0.7409
```

---

[3]
This entry pairs a crystal structure of K2SrFe with its theoretical PXRD pattern. Radiation: Cu Kα (weighted mean of Kα1 and Kα2). Structure: a structure optimized by DFT (PBE).
Lines closer than 0.1° are merged.

Main lines, low angle first (10° ≤ 2θ ≤ 90°):
2θ 22.10, I = 43
2θ 26.63, I = 56
2θ 30.63, I = 100
2θ 34.40, I = 87
2θ 35.70, I = 34
2θ 45.08, I = 27

Crystal structure
```
data_K2SrFe
_chemical_formula_sum 'K4 Sr2 Fe2'
_space_group_name_H-M_alt 'I m m m'
_space_group_IT_number 71
_space_group_name_Hall '-I 2 2'
_cell_length_a 3.835
_cell_length_b 5.032
_cell_length_c 20.086
_cell_angle_alpha 90.00
_cell_angle_beta 90.00
_cell_angle_gamma 90.00
loop_
_atom_site_label
_atom_site_type_symbol
_atom_site_fract_x
_atom_site_fract_y
_atom_site_fract_z
K1 K 0.000 0.000 0.160
Sr1 Sr 0.000 0.500 0.000
Fe1 Fe 0.000 0.500 0.500
```

---

Which formula does entry 2 have? NdY6Mg2